1.
Computed powder diffraction line list
Compound: La4NdTl3
Radiation: CuKα
Structure: a GGA-PBE-relaxed structure
Intensities are scaled so that the largest is 1000.

Atomic structure:
```
La4NdTl3
1.0
2.823 1.630 9.526
-2.823 1.630 9.526
0.000 -3.259 9.526
La Nd Tl
4 1 3
Direct
0.113 0.113 0.113
0.366 0.366 0.366
0.634 0.634 0.634
0.887 0.887 0.887
0.500 0.500 0.500
0.000 0.000 0.000
0.236 0.236 0.236
0.764 0.764 0.764
```

Principal peaks in the range 10 to 90 degrees two-theta, sorted by position:
d_spacing  two_theta  Rel. int.
2.884  31.0  801
2.823  31.7  1000
2.110  42.9  154
2.017  44.9  290
1.641  56.0  303
1.630  56.5  196
1.411  66.2  122
1.268  74.9  129

---

2.
Computed powder diffraction line list
Compound: La3NdTl3
Radiation: CuKα
Structure: a GGA-PBE-relaxed structure
Intensities are scaled so that the largest is 1000.

Atomic structure:
```
La3NdTl3
1.0
4.084 -5.587 0.000
4.084 5.587 0.000
-0.106 0.000 10.276
La Nd Tl
6 2 6
Direct
0.175 0.825 0.000
0.231 0.769 0.500
0.435 0.435 0.187
0.565 0.565 0.813
0.769 0.231 0.500
0.825 0.175 0.000
0.284 0.284 0.544
0.716 0.716 0.456
0.038 0.038 0.266
0.039 0.485 0.761
0.485 0.039 0.761
0.515 0.961 0.239
0.961 0.515 0.239
0.962 0.962 0.734
```

Principal peaks in the range 10 to 90 degrees two-theta, sorted by position:
d_spacing  two_theta  Rel. int.
5.138  17.3  120
3.215  27.7  169
2.824  31.7  142
2.788  32.1  1000
2.765  32.4  420
2.569  34.9  257
2.403  37.4  147
1.525  60.7  123

---

3.
Computed powder diffraction line list
Compound: La5NdTl6
Radiation: CuKα
Structure: a GGA-PBE-relaxed structure
Intensities are scaled so that the largest is 1000.

Atomic structure:
```
La5NdTl6
1.0
5.623 0.000 0.000
-0.005 7.943 0.000
-2.726 -3.958 8.428
La Nd Tl
5 1 6
Direct
0.000 0.000 0.000
0.329 0.329 0.658
0.336 0.836 0.672
0.664 0.164 0.328
0.671 0.671 0.342
0.000 0.500 0.000
0.164 0.910 0.329
0.165 0.419 0.329
0.499 0.260 0.000
0.501 0.740 0.000
0.835 0.581 0.671
0.836 0.090 0.671
```

Principal peaks in the range 10 to 90 degrees two-theta, sorted by position:
d_spacing  two_theta  Rel. int.
2.813  31.8  1000
2.802  31.9  494
1.997  45.4  94
1.986  45.7  92
1.977  45.9  91
1.626  56.6  196
1.622  56.8  193
1.618  56.9  193

---

4.
Computed powder diffraction line list
Compound: La3Nd8Tl
Radiation: CuKα
Structure: a GGA-PBE-relaxed structure
Intensities are scaled so that the largest is 1000.

Atomic structure:
```
La3Nd8Tl
1.0
-4.398 4.398 5.835
4.398 -4.398 5.835
4.398 4.398 -5.835
La Nd Tl
3 8 1
Direct
0.000 0.000 0.000
0.250 0.750 0.500
0.750 0.250 0.500
0.122 0.373 0.000
0.233 0.741 0.000
0.259 0.259 0.493
0.373 0.122 0.000
0.627 0.627 0.750
0.741 0.233 0.000
0.767 0.767 0.507
0.878 0.878 0.250
0.500 0.500 0.000
```

Principal peaks in the range 10 to 90 degrees two-theta, sorted by position:
d_spacing  two_theta  Rel. int.
6.219  14.2  348
3.727  23.9  595
3.512  25.4  386
3.110  28.7  770
2.917  30.6  694
2.511  35.8  1000
2.128  42.5  507
2.058  44.0  501

---

5.
Computed powder diffraction line list
Compound: La6Nd8Tl
Radiation: CuKα
Structure: a GGA-PBE-relaxed structure
Intensities are scaled so that the largest is 1000.

Atomic structure:
```
La6Nd8Tl
1.0
9.619 0.000 0.000
-4.809 8.330 0.000
0.000 0.000 6.708
La Nd Tl
6 8 1
Direct
0.090 0.645 0.171
0.355 0.446 0.171
0.446 0.090 0.829
0.554 0.910 0.171
0.645 0.554 0.829
0.910 0.355 0.829
0.042 0.776 0.681
0.224 0.266 0.681
0.266 0.042 0.319
0.333 0.667 0.637
0.667 0.333 0.363
0.734 0.958 0.681
0.776 0.734 0.319
0.958 0.224 0.319
0.000 0.000 0.000
```

Principal peaks in the range 10 to 90 degrees two-theta, sorted by position:
d_spacing  two_theta  Rel. int.
3.538  25.2  220
3.149  28.3  203
3.111  28.7  157
2.850  31.4  1000
2.751  32.5  308
2.295  39.2  120
1.818  50.2  191
1.533  60.4  120

---

6.
Computed powder diffraction line list
Compound: La3Nd4Tl2
Radiation: CuKα
Structure: a GGA-PBE-relaxed structure
Intensities are scaled so that the largest is 1000.

Atomic structure:
```
La3Nd4Tl2
1.0
6.765 -6.944 0.000
6.765 6.944 0.000
-0.693 0.000 6.577
La Nd Tl
6 8 4
Direct
0.031 0.969 0.750
0.324 0.456 0.411
0.456 0.324 0.911
0.544 0.676 0.089
0.676 0.544 0.589
0.969 0.031 0.250
0.018 0.675 0.420
0.178 0.609 0.924
0.325 0.982 0.080
0.391 0.822 0.576
0.609 0.178 0.424
0.675 0.018 0.920
0.822 0.391 0.076
0.982 0.325 0.580
0.134 0.279 0.042
0.279 0.134 0.542
0.721 0.866 0.458
0.866 0.721 0.958
```

Principal peaks in the range 10 to 90 degrees two-theta, sorted by position:
d_spacing  two_theta  Rel. int.
3.289  27.1  279
3.070  29.1  366
2.983  30.0  549
2.847  31.4  660
2.840  31.5  689
2.814  31.8  393
2.742  32.7  1000
2.642  33.9  480

---

7.
Computed powder diffraction line list
Compound: La2Nd12Tl
Radiation: CuKα
Structure: a GGA-PBE-relaxed structure
Intensities are scaled so that the largest is 1000.

Atomic structure:
```
La2Nd12Tl
1.0
6.808 0.000 0.000
0.000 6.808 0.000
0.000 0.000 23.917
La Nd Tl
4 24 2
Direct
0.250 0.750 0.248
0.250 0.750 0.752
0.750 0.250 0.248
0.750 0.250 0.752
0.004 0.504 0.092
0.004 0.996 0.908
0.084 0.584 0.565
0.084 0.916 0.435
0.250 0.250 0.200
0.250 0.250 0.330
0.250 0.250 0.670
0.250 0.250 0.800
0.416 0.584 0.435
0.416 0.916 0.565
0.496 0.504 0.908
0.496 0.996 0.092
0.504 0.004 0.908
0.504 0.496 0.092
0.584 0.084 0.435
0.584 0.416 0.565
0.750 0.750 0.200
0.750 0.750 0.330
0.750 0.750 0.670
0.750 0.750 0.800
0.916 0.084 0.565
0.916 0.416 0.435
0.996 0.004 0.092
0.996 0.496 0.908
0.250 0.750 0.000
0.750 0.250 0.000
```

Principal peaks in the range 10 to 90 degrees two-theta, sorted by position:
d_spacing  two_theta  Rel. int.
4.466  19.9  464
3.750  23.7  434
3.274  27.2  1000
2.956  30.2  918
2.773  32.3  476
2.589  34.7  767
2.407  37.4  854
1.747  52.4  582

---

8.
Computed powder diffraction line list
Compound: La2Nd4Tl
Radiation: CuKα
Structure: a GGA-PBE-relaxed structure
Intensities are scaled so that the largest is 1000.

Atomic structure:
```
La2Nd4Tl
1.0
6.671 0.000 0.000
0.000 6.450 0.000
0.000 0.000 11.128
La Nd Tl
4 8 2
Direct
0.000 0.243 0.044
0.000 0.757 0.956
0.500 0.243 0.456
0.500 0.757 0.544
0.000 0.070 0.346
0.000 0.930 0.654
0.250 0.391 0.750
0.250 0.609 0.250
0.500 0.070 0.154
0.500 0.930 0.846
0.750 0.391 0.750
0.750 0.609 0.250
0.000 0.500 0.500
0.500 0.500 0.000
```

Principal peaks in the range 10 to 90 degrees two-theta, sorted by position:
d_spacing  two_theta  Rel. int.
3.216  27.7  397
3.098  28.8  433
2.897  30.9  686
2.862  31.3  1000
2.810  31.9  952
2.615  34.3  630
2.554  35.1  431
1.807  50.5  299

---

9.
Computed powder diffraction line list
Compound: LaNd5Tl2
Radiation: CuKα
Structure: a GGA-PBE-relaxed structure
Intensities are scaled so that the largest is 1000.

Atomic structure:
```
LaNd5Tl2
1.0
5.647 0.000 0.000
-2.824 4.891 0.000
0.000 0.000 20.413
La Nd Tl
2 10 4
Direct
0.333 0.667 0.250
0.667 0.333 0.750
0.000 0.000 0.161
0.000 0.000 0.339
0.000 0.000 0.661
0.000 0.000 0.839
0.333 0.667 0.568
0.333 0.667 0.750
0.333 0.667 0.932
0.667 0.333 0.068
0.667 0.333 0.250
0.667 0.333 0.432
0.333 0.667 0.089
0.333 0.667 0.411
0.667 0.333 0.589
0.667 0.333 0.911
```

Principal peaks in the range 10 to 90 degrees two-theta, sorted by position:
d_spacing  two_theta  Rel. int.
3.402  26.2  134
2.824  31.7  1000
2.793  32.0  667
2.173  41.6  238
1.986  45.7  251
1.630  56.4  196
1.624  56.7  265
1.457  63.9  174

---

10.
Computed powder diffraction line list
Compound: LaNd6Tl
Radiation: CuKα
Structure: a GGA-PBE-relaxed structure
Intensities are scaled so that the largest is 1000.

Atomic structure:
```
LaNd6Tl
1.0
5.049 0.000 0.000
0.000 5.049 0.000
0.000 0.000 10.509
La Nd Tl
1 6 1
Direct
0.000 0.000 0.000
0.000 0.500 0.259
0.000 0.500 0.741
0.500 0.000 0.259
0.500 0.000 0.741
0.500 0.500 0.000
0.500 0.500 0.500
0.000 0.000 0.500
```

Principal peaks in the range 10 to 90 degrees two-theta, sorted by position:
d_spacing  two_theta  Rel. int.
2.953  30.3  1000
2.627  34.1  179
2.524  35.6  328
1.820  50.1  242
1.785  51.2  117
1.572  58.7  146
1.528  60.6  279
1.476  63.0  122

---

11.
Computed powder diffraction line list
Compound: La3Nd2Tl2
Radiation: CuKα
Structure: a GGA-PBE-relaxed structure
Intensities are scaled so that the largest is 1000.

Atomic structure:
```
La3Nd2Tl2
1.0
-1.890 2.732 11.393
1.890 -2.732 11.393
1.890 2.732 -11.393
La Nd Tl
3 2 2
Direct
0.000 0.000 0.000
0.299 0.799 0.500
0.701 0.201 0.500
0.427 0.427 0.000
0.573 0.573 0.000
0.148 0.648 0.500
0.852 0.352 0.500
```

Principal peaks in the range 10 to 90 degrees two-theta, sorted by position:
d_spacing  two_theta  Rel. int.
2.999  29.8  933
2.909  30.7  409
2.797  32.0  1000
2.731  32.8  685
2.405  37.4  316
1.992  45.5  276
1.590  58.0  269
1.566  59.0  352

---

12.
Computed powder diffraction line list
Compound: La4Nd2Tl3
Radiation: CuKα
Structure: a GGA-PBE-relaxed structure
Intensities are scaled so that the largest is 1000.

Atomic structure:
```
La4Nd2Tl3
1.0
5.242 -4.890 0.000
5.242 4.890 0.000
-4.125 0.000 11.644
La Nd Tl
8 4 6
Direct
0.112 0.807 0.873
0.193 0.888 0.627
0.294 0.352 0.434
0.352 0.294 0.934
0.648 0.706 0.066
0.706 0.648 0.566
0.807 0.112 0.373
0.888 0.193 0.127
0.138 0.645 0.128
0.355 0.862 0.372
0.645 0.138 0.628
0.862 0.355 0.872
0.058 0.361 0.653
0.361 0.058 0.153
0.462 0.538 0.750
0.538 0.462 0.250
0.639 0.942 0.847
0.942 0.639 0.347
```

Principal peaks in the range 10 to 90 degrees two-theta, sorted by position:
d_spacing  two_theta  Rel. int.
3.096  28.8  634
3.073  29.1  555
2.943  30.4  853
2.927  30.5  872
2.802  31.9  1000
2.717  33.0  479
2.622  34.2  477
2.501  35.9  373